For TmHfCo2, a PBE-relaxed structure gives the theoretical powder diffractogram in this record (Cu Kα X-rays).
No peak broadening, texture or thermal motion is included.

Peak list (7 most intense, 10° ≤ 2θ ≤ 90°, by angle)
2θ 27.73, intensity 28
2θ 39.62, intensity 100
2θ 49.05, intensity 8
2θ 57.28, intensity 17
2θ 64.80, intensity 11
2θ 71.89, intensity 34
2θ 85.34, intensity 11

```
TmHfCo2
1.0
6.434 0.000 0.000
0.000 6.434 0.000
0.000 0.000 6.434
Tm Hf Co
4 4 8
direct
0.000 0.000 0.000
0.000 0.500 0.500
0.500 0.000 0.500
0.500 0.500 0.000
0.000 0.000 0.500
0.000 0.500 0.000
0.500 0.000 0.000
0.500 0.500 0.500
0.250 0.250 0.250
0.250 0.250 0.750
0.250 0.750 0.250
0.250 0.750 0.750
0.750 0.250 0.250
0.750 0.250 0.750
0.750 0.750 0.250
0.750 0.750 0.750
```

---

For Ba3MgTa2O9, a PBE-relaxed structure gives the theoretical powder diffractogram in this record (Cu Kα X-rays).
No peak broadening, texture or thermal motion is included.

Peak list (10 most intense, 10° ≤ 2θ ≤ 90°, by angle)
2θ 17.53, intensity 9
2θ 30.57, intensity 100
2θ 43.77, intensity 30
2θ 54.23, intensity 11
2θ 54.36, intensity 31
2θ 63.56, intensity 10
2θ 63.70, intensity 9
2θ 72.18, intensity 9
2θ 72.28, intensity 9
2θ 88.47, intensity 11

```
Ba3MgTa2O9
1.0
5.843 0.000 0.000
-2.922 5.061 0.000
0.000 0.000 7.179
Ba Mg Ta O
3 1 2 9
direct
0.000 0.000 0.000
0.333 0.667 0.664
0.667 0.333 0.336
0.000 0.000 0.500
0.333 0.667 0.177
0.667 0.333 0.823
0.000 0.500 0.000
0.172 0.344 0.325
0.172 0.828 0.325
0.344 0.172 0.675
0.500 0.000 0.000
0.500 0.500 0.000
0.656 0.828 0.325
0.828 0.172 0.675
0.828 0.656 0.675
```

---

For ZnSb4O8, a PBE-relaxed structure gives the theoretical powder diffractogram in this record (Cu Kα X-rays).
No peak broadening, texture or thermal motion is included.

Peak list (10 most intense, 10° ≤ 2θ ≤ 90°, by angle)
2θ 18.00, intensity 98
2θ 30.64, intensity 68
2θ 32.42, intensity 64
2θ 38.84, intensity 100
2θ 43.12, intensity 23
2θ 53.17, intensity 18
2θ 53.30, intensity 37
2θ 56.73, intensity 26
2θ 58.81, intensity 26
2θ 66.31, intensity 19

```
ZnSb4O8
1.0
3.437 1.985 4.928
-3.437 1.985 4.928
0.000 -3.969 4.928
Zn Sb O
1 4 8
direct
0.000 0.000 0.000
0.000 0.000 0.500
0.000 0.500 0.000
0.500 0.000 0.000
0.500 0.500 0.500
0.218 0.757 0.757
0.233 0.233 0.233
0.243 0.243 0.782
0.243 0.782 0.243
0.757 0.218 0.757
0.757 0.757 0.218
0.767 0.767 0.767
0.782 0.243 0.243
```

---

Copy entry 2 word for word.
For Ba3MgTa2O9, a PBE-relaxed structure gives the theoretical powder diffractogram in this record (Cu Kα X-rays).
No peak broadening, texture or thermal motion is included.

Peak list (10 most intense, 10° ≤ 2θ ≤ 90°, by angle)
2θ 17.53, intensity 9
2θ 30.57, intensity 100
2θ 43.77, intensity 30
2θ 54.23, intensity 11
2θ 54.36, intensity 31
2θ 63.56, intensity 10
2θ 63.70, intensity 9
2θ 72.18, intensity 9
2θ 72.28, intensity 9
2θ 88.47, intensity 11

```
Ba3MgTa2O9
1.0
5.843 0.000 0.000
-2.922 5.061 0.000
0.000 0.000 7.179
Ba Mg Ta O
3 1 2 9
direct
0.000 0.000 0.000
0.333 0.667 0.664
0.667 0.333 0.336
0.000 0.000 0.500
0.333 0.667 0.177
0.667 0.333 0.823
0.000 0.500 0.000
0.172 0.344 0.325
0.172 0.828 0.325
0.344 0.172 0.675
0.500 0.000 0.000
0.500 0.500 0.000
0.656 0.828 0.325
0.828 0.172 0.675
0.828 0.656 0.675
```